[1]
Theoretical powder XRD pattern
Compound: Nb2Pd12Au5
Radiation: CuKα
Structure: a crystal structure in Alexandria, relaxed with PBE

Atomic structure:
a = 14.9624 Å, b = 5.4179 Å, c = 9.0441 Å
α = 90.00°, β = 105.54°, γ = 90.00°
Space group C2/m (No. 12)
One atom of each set of equivalent atoms:
Nb: 0.0000 0.2470 0.0000 (multiplicity 4)
Pd: 0.0166 0.0000 0.3620 (multiplicity 4)
Pd: 0.0772 0.5000 0.2630 (multiplicity 4)
Pd: 0.1532 0.2451 0.6150 (multiplicity 8)
Pd: 0.1948 0.2580 0.1192 (multiplicity 8)
Au: 0.0000 0.5000 0.5000 (multiplicity 2)
Au: 0.1314 0.0000 0.8666 (multiplicity 4)
Au: 0.1921 0.0000 0.3753 (multiplicity 4)

The 8 most intense peaks (2θ from 10° to 90°), by angle:
- hkl 3 1 0, 2θ = 24.77°, 3.595 Å, I = 65.2
- hkl 1 1 -2, 2θ = 25.67°, 3.470 Å, I = 73.1
- hkl 2 2 -2, 2θ = 39.39°, 2.287 Å, I = 100.0
- hkl 2 0 -4, 2θ = 39.90°, 2.260 Å, I = 41.6
- hkl 5 1 -3, 2θ = 41.28°, 2.187 Å, I = 91.7
- hkl 2 2 2, 2θ = 42.93°, 2.107 Å, I = 59.0
- hkl 4 2 -2, 2θ = 43.61°, 2.076 Å, I = 75.1
- hkl 4 2 1, 2θ = 44.72°, 2.027 Å, I = 47.4

---

[2]
Theoretical powder XRD pattern
Compound: NiPdCl6
Radiation: CuKα
Structure: a crystal structure in Alexandria, relaxed with PBE

Atomic structure:
a = 6.0302 Å, b = 6.0302 Å, c = 16.1651 Å
α = 90.00°, β = 90.00°, γ = 120.00°
Space group R-3 (No. 148, hexagonal axes)
One atom of each set of equivalent atoms:
Ni: 0.0000 0.0000 0.0000 (multiplicity 3)
Pd: 0.0000 0.0000 0.5000 (multiplicity 3)
Cl: 0.0014 0.3518 0.7487 (multiplicity 18)

The 8 most intense peaks (2θ from 10° to 90°), by angle:
- hkl 0 1 2, 2θ = 20.25°, 4.386 Å, I = 100.0
- hkl 1 0 4, 2θ = 27.92°, 3.196 Å, I = 32.5
- hkl 1 1 3, 2θ = 34.07°, 2.631 Å, I = 53.1
- hkl 0 2 4, 2θ = 41.16°, 2.193 Å, I = 17.8
- hkl 2 -1 6, 2θ = 45.13°, 2.009 Å, I = 50.1
- hkl 3 -2 2, 2θ = 47.41°, 1.917 Å, I = 16.6
- hkl 3 -1 4, 2θ = 51.53°, 1.774 Å, I = 14.0
- hkl 3 0 0, 2θ = 52.57°, 1.741 Å, I = 27.8

---

[3]
Theoretical powder XRD pattern
Compound: Th3As2Pb
Radiation: CuKα
Structure: a crystal structure in Alexandria, relaxed with PBE

Atomic structure:
a = 5.2726 Å, b = 12.7375 Å, c = 10.1889 Å
α = 90.00°, β = 90.00°, γ = 90.00°
Space group Cmcm (No. 63)
One atom of each set of equivalent atoms:
Th: 0.0000 0.1155 0.2500 (multiplicity 4)
Th: 0.0000 0.3717 0.0444 (multiplicity 8)
As: 0.0000 0.0000 0.0000 (multiplicity 4)
As: 0.0000 0.4638 0.7500 (multiplicity 4)
Pb: 0.0000 0.2070 0.7500 (multiplicity 4)

The 8 most intense peaks (2θ from 10° to 90°), by angle:
- hkl 1 1 2, 2θ = 25.30°, 3.521 Å, I = 40.7
- hkl 1 3 1, 2θ = 28.37°, 3.145 Å, I = 36.2
- hkl 0 2 3, 2θ = 29.81°, 2.997 Å, I = 29.2
- hkl 1 1 3, 2θ = 32.13°, 2.786 Å, I = 19.5
- hkl 1 3 2, 2θ = 32.27°, 2.774 Å, I = 100.0
- hkl 2 0 0, 2θ = 34.01°, 2.636 Å, I = 47.5
- hkl 0 0 4, 2θ = 35.23°, 2.547 Å, I = 24.8
- hkl 3 3 2, 2θ = 59.76°, 1.548 Å, I = 21.1

---

[4]
Theoretical powder XRD pattern
Compound: Sr2TcMoS
Radiation: CuKα
Structure: a crystal structure in Alexandria, relaxed with PBE

Atomic structure:
a = 5.6226 Å, b = 5.6226 Å, c = 4.4892 Å
α = 90.00°, β = 90.00°, γ = 90.00°
Space group P4/mmm (No. 123)
One atom of each set of equivalent atoms:
Sr: 0.0000 0.5000 0.0000 (multiplicity 2)
Tc: 0.0000 0.0000 0.5000 (multiplicity 1)
Mo: 0.5000 0.5000 0.5000 (multiplicity 1)
S: 0.5000 0.5000 0.0000 (multiplicity 1)

The 8 most intense peaks (2θ from 10° to 90°), by angle:
- hkl 1 1 1, 2θ = 30.02°, 2.976 Å, I = 100.0
- hkl 2 0 0, 2θ = 31.83°, 2.811 Å, I = 61.3
- hkl 0 0 2, 2θ = 40.18°, 2.245 Å, I = 15.9
- hkl 2 2 0, 2θ = 45.64°, 1.988 Å, I = 21.9
- hkl 2 0 2, 2θ = 52.14°, 1.754 Å, I = 29.2
- hkl 3 1 1, 2θ = 55.60°, 1.653 Å, I = 34.4
- hkl 2 2 2, 2θ = 62.40°, 1.488 Å, I = 16.8
- hkl 4 2 2, 2θ = 89.31°, 1.097 Å, I = 13.1